Structure and theoretical X-ray diffraction stick pattern of Ho4NpP5 (DFT lattice parameters and positions (GGA-PBE); Cu Kα).
No peak broadening, texture or thermal motion is included.

Structure:
a b c (Å): 10.537 10.537 10.537
angles (deg): 158.25 149.08 38.12
Fractional coordinates of all 10 atoms:
Ho  0.101  0.101  0.000
Ho  0.299  0.299  0.000
Ho  0.701  0.701  0.000
Ho  0.899  0.899  0.000
Np  0.500  0.500  0.000
P  0.000  0.500  0.500
P  0.201  0.701  0.500
P  0.402  0.902  0.500
P  0.598  0.098  0.500
P  0.799  0.299  0.500

Most intense lines, 15 to 90 degrees two-theta, by angle:
| Position (°2θ) | I/Imax |
| --- | --- |
| 27.5 | 94.0 |
| 31.8 | 100.0 |
| 45.6 | 73.3 |
| 54.0 | 30.7 |
| 56.7 | 25.7 |
| 73.4 | 15.5 |
| 75.6 | 16.6 |
| 84.4 | 17.0 |